Record 1
# Tb6CoBr10
Computed powder diffraction line list, CuKα. Input: a PBE-relaxed structure.
Neutral-atom scattering factors, no anomalous dispersion.

Peak list (10 most intense, 15° ≤ 2θ ≤ 90°, in order of rising 2θ)
| 2θ/deg | intensity | index |
| --- | --- | --- |
| 29.46 | 100 | 2 0 1 |
| 30.48 | 100 | 1 1 -3 |
| 31.08 | 96 | 1 -3 0 |
| 42.70 | 31 | 3 1 -2 |
| 43.11 | 64 | 1 -1 4 |
| 43.62 | 35 | 1 3 1 |
| 43.96 | 32 | -2 2 3 |
| 44.24 | 34 | 0 4 -3 |
| 53.99 | 18 | 2 -4 4 |
| 54.20 | 17 | 0 2 4 |

Cell lengths 7.381, 9.098, 9.279 Å; angles 107.61, 96.61, 104.46 degrees
Space group P-1 (No. 2)
Inequivalent atoms, fractional coordinates:
1 Tb 0.037 0.217 0.415 x2
2 Tb 0.125 0.549 0.257 x2
3 Tb 0.353 0.631 0.675 x2
4 Co 0.000 0.500 0.500 x1
5 Br 0.088 0.873 0.328 x2
6 Br 0.224 0.248 0.159 x2
7 Br 0.246 0.581 0.954 x2
8 Br 0.336 0.949 0.772 x2
9 Br 0.454 0.319 0.585 x2

---

Record 2
# TiV3Ga2
Computed powder diffraction line list, CuKα. Input: a PBE-relaxed structure.
Neutral-atom scattering factors, no anomalous dispersion.

Peak list (10 most intense, 15° ≤ 2θ ≤ 90°, in order of rising 2θ)
| 2θ/deg | intensity | index |
| --- | --- | --- |
| 39.92 | 100 | 2 2 0 |
| 42.54 | 81 | 0 2 3 |
| 42.65 | 81 | 2 0 3 |
| 57.55 | 16 | 0 4 0 |
| 57.91 | 16 | 4 0 0 |
| 65.76 | 10 | 0 0 6 |
| 74.21 | 28 | 2 4 3 |
| 74.45 | 28 | 4 2 3 |
| 79.77 | 22 | 2 2 6 |
| 86.11 | 9 | 4 4 0 |

Cell lengths 6.370, 6.406, 8.521 Å; angles 90.00, 90.00, 90.00 degrees
Space group Cmme (No. 67)
Inequivalent atoms, fractional coordinates:
1 Ti 0.000 0.250 0.173 x4
2 V 0.000 0.250 0.818 x4
3 V 0.250 0.000 0.333 x8
4 Ga 0.000 0.250 0.501 x4
5 Ga 0.250 0.000 0.000 x4

---

Record 3
# YCd6Ag2
Computed powder diffraction line list, CuKα. Input: a PBE-relaxed structure.
Neutral-atom scattering factors, no anomalous dispersion.

Peak list (10 most intense, 15° ≤ 2θ ≤ 90°, in order of rising 2θ)
| 2θ/deg | intensity | index |
| --- | --- | --- |
| 31.14 | 18 | 1 3 1 |
| 32.51 | 15 | 0 4 0 |
| 35.47 | 100 | 5 1 1 |
| 37.22 | 52 | 0 0 2 |
| 37.59 | 65 | 0 4 1 |
| 38.09 | 28 | 5 3 0 |
| 42.60 | 31 | 5 3 1 |
| 54.32 | 19 | 5 3 2 |
| 65.98 | 16 | 5 1 3 |
| 67.35 | 12 | 0 4 3 |

Cell lengths 15.427, 11.017, 4.831 Å; angles 90.00, 90.00, 90.00 degrees
Space group Cmcm (No. 63)
Inequivalent atoms, fractional coordinates:
1 Y 0.000 0.207 0.250 x4
2 Cd 0.093 0.356 0.750 x8
3 Cd 0.105 0.076 0.750 x8
4 Cd 0.211 0.164 0.250 x8
5 Ag 0.186 0.421 0.250 x8

---

Record 4
# Ac2Al6Pd3
Computed powder diffraction line list, CuKα. Input: a PBE-relaxed structure.
Neutral-atom scattering factors, no anomalous dispersion.

Peak list (10 most intense, 15° ≤ 2θ ≤ 90°, in order of rising 2θ)
| 2θ/deg | intensity | index |
| --- | --- | --- |
| 22.38 | 29 | 1 1 0 |
| 30.60 | 100 | 1 1 1 |
| 33.32 | 16 | 2 0 1 |
| 34.49 | 12 | 2 1 0 |
| 39.28 | 35 | 3 0 0 |
| 40.51 | 20 | 2 1 1 |
| 41.91 | 14 | 0 0 2 |
| 50.60 | 23 | 2 2 1 |
| 58.79 | 22 | 3 0 2 |
| 65.87 | 22 | 4 1 1 |

Cell lengths 7.9449, 7.9449, 4.3109 Å; angles 90.00, 90.00, 120.00 degrees
Space group P-62m (No. 189)
Inequivalent atoms, fractional coordinates:
1 Ac 0.3333 0.6667 0.0000 x2
2 Al 0.0000 0.2903 0.5000 x3
3 Al 0.0000 0.8083 0.0000 x3
4 Pd 0.0000 0.6357 0.5000 x3

---

Record 5
# PmIn12Pd6
Computed powder diffraction line list, CuKα. Input: a PBE-relaxed structure.
Neutral-atom scattering factors, no anomalous dispersion.

Peak list (10 most intense, 15° ≤ 2θ ≤ 90°, in order of rising 2θ)
| 2θ/deg | intensity | index |
| --- | --- | --- |
| 31.28 | 100 | 1 3 1 |
| 31.95 | 69 | 1 1 3 |
| 35.48 | 22 | 3 1 2 |
| 37.46 | 58 | 3 2 1 |
| 38.05 | 62 | 0 3 3 |
| 38.38 | 21 | 0 4 2 |
| 41.11 | 36 | 2 3 2 |
| 41.91 | 48 | 0 2 4 |
| 46.16 | 59 | 5 0 2 |
| 57.88 | 32 | 3 1 5 |

Cell lengths 12.4995, 12.4995, 9.4003 Å; angles 90.00, 90.00, 120.00 degrees
Space group R-3m (No. 166, hexagonal axes)
Inequivalent atoms, fractional coordinates:
1 Pm 0.0000 0.0000 0.0000 x3
2 In 0.0000 0.3839 0.5000 x18
3 In 0.0842 0.1684 0.3158 x18
4 Pd 0.0500 0.5250 0.2430 x18

---

Record 6
# MgTeP
Computed powder diffraction line list, CuKα. Input: a PBE-relaxed structure.
Neutral-atom scattering factors, no anomalous dispersion.

Peak list (10 most intense, 15° ≤ 2θ ≤ 90°, in order of rising 2θ)
| 2θ/deg | intensity | index |
| --- | --- | --- |
| 20.54 | 54 | 0 0 9 |
| 28.57 | 55 | 0 1 2 |
| 30.48 | 30 | 0 1 5 |
| 32.55 | 100 | 1 0 7 |
| 38.15 | 23 | 0 1 11 |
| 43.32 | 33 | 0 1 14 |
| 47.12 | 19 | 1 0 16 |
| 49.89 | 32 | 1 1 0 |
| 54.50 | 22 | 1 1 9 |
| 67.03 | 25 | 1 0 25 |

Cell lengths 3.6557, 3.6557, 38.9131 Å; angles 90.00, 90.00, 120.00 degrees
Space group R-3m (No. 166, hexagonal axes)
Inequivalent atoms, fractional coordinates:
1 Mg 0.0000 0.0000 0.0641 x6
2 Te 0.0000 0.0000 0.2198 x6
3 P 0.0000 0.0000 0.3470 x6